Entry 1:
For Mg12In5Sn2, the PBE geometry in Alexandria gives the calculated X-ray diffraction stick pattern in this record (λ = 1.5418 Å (Cu Kα)).

Largest 6 diffraction maxima, by angle, 2θ from 10° to 90°:
| Position (°2θ) | I (rel.) |
| --- | --- |
| 21.59 | 96.3 |
| 23.33 | 95.6 |
| 34.71 | 100.0 |
| 36.08 | 62.9 |
| 38.32 | 87.9 |
| 40.47 | 65.0 |

Structure:
Lattice parameters (Å, degrees): 8.8513 8.8513 9.5852 100.19 100.19 42.03
Atoms (fractional coordinates):
Mg1 0.0298 0.0298 0.3175
Mg2 0.0511 0.5488 0.8682
Mg3 0.1097 0.6165 0.3837
Mg4 0.3835 0.8903 0.6163
Mg5 0.4196 0.4196 0.7315
Mg6 0.4512 0.9489 0.1318
Mg7 0.5488 0.0511 0.8682
Mg8 0.5804 0.5804 0.2685
Mg9 0.6165 0.1097 0.3837
Mg10 0.8903 0.3835 0.6163
Mg11 0.9489 0.4512 0.1318
Mg12 0.9702 0.9702 0.6825
In1 0.1392 0.1392 0.8776
In2 0.2144 0.2144 0.4104
In3 0.5000 0.5000 0.5000
In4 0.7856 0.7856 0.5896
In5 0.8608 0.8608 0.1224
Sn1 0.2488 0.7512 0.0000
Sn2 0.7512 0.2488 0.0000


Entry 2:
For CaTl3Rh, the PBE geometry in Alexandria gives the calculated X-ray diffraction stick pattern in this record (λ = 1.5418 Å (Cu Kα)).

Largest 6 diffraction maxima, by angle, 2θ from 10° to 90°:
| Position (°2θ) | I (rel.) |
| --- | --- |
| 28.14 | 93.3 |
| 29.85 | 100.0 |
| 30.27 | 77.7 |
| 35.52 | 73.5 |
| 35.74 | 82.5 |
| 40.07 | 79.3 |

Structure:
Lattice parameters (Å, degrees): 6.3897 9.4369 8.5625 90.00 90.00 90.00
Atoms (fractional coordinates):
Ca1 0.2289 0.2500 0.1062
Ca2 0.2711 0.7500 0.6062
Ca3 0.7289 0.2500 0.3938
Ca4 0.7711 0.7500 0.8938
Tl1 0.1378 0.5521 0.3093
Tl2 0.1378 0.9479 0.3093
Tl3 0.2345 0.2500 0.5001
Tl4 0.2655 0.7500 0.0001
Tl5 0.3622 0.0521 0.8093
Tl6 0.3622 0.4479 0.8093
Tl7 0.6378 0.5521 0.1907
Tl8 0.6378 0.9479 0.1907
Tl9 0.7345 0.2500 0.9999
Tl10 0.7655 0.7500 0.4999
Tl11 0.8622 0.0521 0.6907
Tl12 0.8622 0.4479 0.6907
Rh1 0.0000 0.0000 0.0000
Rh2 0.0000 0.5000 0.0000
Rh3 0.5000 0.0000 0.5000
Rh4 0.5000 0.5000 0.5000


Entry 3:
For BaTl11Sn, the PBE geometry in Alexandria gives the calculated X-ray diffraction stick pattern in this record (λ = 1.5418 Å (Cu Kα)).

Largest 6 diffraction maxima, by angle, 2θ from 10° to 90°:
| Position (°2θ) | I (rel.) |
| --- | --- |
| 31.27 | 29.4 |
| 31.41 | 100.0 |
| 31.51 | 35.0 |
| 31.85 | 30.9 |
| 35.16 | 62.9 |
| 35.44 | 46.4 |

Structure:
Lattice parameters (Å, degrees): 8.6990 8.6990 8.6341 97.75 97.75 136.10
Atoms (fractional coordinates):
Ba1 0.0000 0.0000 0.0000
Tl1 0.0000 0.0000 0.5000
Tl2 0.0000 0.5000 0.0000
Tl3 0.0088 0.3627 0.3603
Tl4 0.2895 0.4995 0.7864
Tl5 0.3627 0.0088 0.3603
Tl6 0.5000 0.0000 0.0000
Tl7 0.4995 0.2895 0.7864
Tl8 0.5005 0.7105 0.2136
Tl9 0.6373 0.9912 0.6397
Tl10 0.7105 0.5005 0.2136
Tl11 0.9912 0.6373 0.6397
Sn1 0.5000 0.5000 0.5000


Entry 4:
For Rb2SiIrBr6, the PBE geometry in Alexandria gives the calculated X-ray diffraction stick pattern in this record (λ = 1.5418 Å (Cu Kα)).

Largest 6 diffraction maxima, by angle, 2θ from 10° to 90°:
| Position (°2θ) | I (rel.) |
| --- | --- |
| 14.45 | 58.1 |
| 23.70 | 46.7 |
| 29.13 | 73.2 |
| 33.69 | 47.7 |
| 33.80 | 94.5 |
| 48.49 | 100.0 |

Structure:
Lattice parameters (Å, degrees): 7.5135 7.5135 7.5135 120.11 120.11 89.82
Atoms (fractional coordinates):
Rb1 0.2500 0.7500 0.5000
Rb2 0.7500 0.2500 0.5000
Si1 0.0000 0.0000 0.0000
Ir1 0.5000 0.5000 0.0000
Br1 0.2563 0.2563 0.5125
Br2 0.2563 0.7437 0.0000
Br3 0.2568 0.2568 0.0000
Br4 0.7432 0.7432 0.0000
Br5 0.7437 0.2563 0.0000
Br6 0.7437 0.7437 0.4875


Entry 5:
For In2SbSe4, the PBE geometry in Alexandria gives the calculated X-ray diffraction stick pattern in this record (λ = 1.5418 Å (Cu Kα)).

Largest 6 diffraction maxima, by angle, 2θ from 10° to 90°:
| Position (°2θ) | I (rel.) |
| --- | --- |
| 15.77 | 44.5 |
| 28.16 | 94.9 |
| 30.08 | 51.8 |
| 31.85 | 58.3 |
| 34.14 | 40.7 |
| 44.38 | 100.0 |

Structure:
Lattice parameters (Å, degrees): 6.6200 6.6200 6.6200 106.23 106.23 116.16
Atoms (fractional coordinates):
In1 0.2500 0.7500 0.5000
In2 0.7500 0.2500 0.5000
Sb1 0.0000 0.0000 0.0000
Se1 0.1761 0.3221 0.4981
Se2 0.3221 0.8239 0.1460
Se3 0.6779 0.1761 0.8540
Se4 0.8239 0.6779 0.5019


Entry 6:
For Pu2Ga2Se7, the PBE geometry in Alexandria gives the calculated X-ray diffraction stick pattern in this record (λ = 1.5418 Å (Cu Kα)).

Largest 6 diffraction maxima, by angle, 2θ from 10° to 90°:
| Position (°2θ) | I (rel.) |
| --- | --- |
| 12.77 | 38.3 |
| 20.09 | 43.8 |
| 20.86 | 100.0 |
| 21.92 | 46.1 |
| 30.28 | 45.9 |
| 31.76 | 36.1 |

Structure:
Lattice parameters (Å, degrees): 7.1924 7.1924 6.6763 97.24 97.24 102.49
Atoms (fractional coordinates):
Pu1 0.1956 0.8044 0.0000
Pu2 0.8044 0.1956 0.0000
Ga1 0.2597 0.2597 0.6021
Ga2 0.7403 0.7403 0.3979
Se1 0.0433 0.4226 0.7600
Se2 0.1086 0.1086 0.2470
Se3 0.4226 0.0433 0.7600
Se4 0.5000 0.5000 0.5000
Se5 0.5774 0.9567 0.2400
Se6 0.8914 0.8914 0.7530
Se7 0.9567 0.5774 0.2400